Record 1
# Sr3Bi2Se6O19
Theoretical PXRD pattern, copper Kα. Input: a structure optimized by DFT (GGA-PBE).
Intensities are scaled so that the largest is 100.

Cell and atoms:
a = 7.1819 Å, b = 17.7241 Å, c = 7.3596 Å
α = 90.00°, β = 91.89°, γ = 90.00°
Element x y z (fractional)
1 Sr 0.0962 0.1063 0.4361
2 Sr 0.0962 0.3937 0.4361
3 Sr 0.1406 0.7500 0.1648
4 Sr 0.8594 0.2500 0.8352
5 Sr 0.9038 0.6063 0.5639
6 Sr 0.9038 0.8937 0.5639
7 Bi 0.4041 0.5837 0.8382
8 Bi 0.4041 0.9163 0.8382
9 Bi 0.5959 0.0837 0.1618
10 Bi 0.5959 0.4163 0.1618
11 Se 0.1173 0.0695 0.8922
12 Se 0.1173 0.4305 0.8922
13 Se 0.1871 0.7500 0.6901
14 Se 0.3277 0.2500 0.1089
15 Se 0.4104 0.5810 0.3443
16 Se 0.4104 0.9190 0.3443
17 Se 0.5896 0.0810 0.6557
18 Se 0.5896 0.4190 0.6557
19 Se 0.6723 0.7500 0.8911
20 Se 0.8129 0.2500 0.3099
21 Se 0.8827 0.5695 0.1078
22 Se 0.8827 0.9305 0.1078
23 O 0.0172 0.7500 0.5199
24 O 0.0902 0.0057 0.7166
25 O 0.0902 0.4943 0.7166
26 O 0.1121 0.6750 0.8244
27 O 0.1121 0.8250 0.8244
28 O 0.1312 0.1526 0.7788
29 O 0.1312 0.3474 0.7788
30 O 0.2694 0.6050 0.5210
31 O 0.2694 0.8950 0.5210
32 O 0.2757 0.6099 0.1589
33 O 0.2757 0.8901 0.1589
34 O 0.3576 0.0468 0.9375
35 O 0.3576 0.4532 0.9375
36 O 0.3601 0.1718 0.2534
37 O 0.3601 0.3282 0.2534
38 O 0.3789 0.0180 0.3351
39 O 0.3789 0.4820 0.3351
40 O 0.4618 0.7500 0.9944
41 O 0.4684 0.7500 0.3515
42 O 0.5316 0.2500 0.6485
43 O 0.5382 0.2500 0.0056
44 O 0.6211 0.5180 0.6649
45 O 0.6211 0.9820 0.6649
46 O 0.6399 0.6718 0.7466
47 O 0.6399 0.8282 0.7466
48 O 0.6424 0.5468 0.0625
49 O 0.6424 0.9532 0.0625
50 O 0.7243 0.1099 0.8411
51 O 0.7243 0.3901 0.8411
52 O 0.7306 0.1050 0.4790
53 O 0.7306 0.3950 0.4790
54 O 0.8688 0.6526 0.2212
55 O 0.8688 0.8474 0.2212
56 O 0.8879 0.1750 0.1756
57 O 0.8879 0.3250 0.1756
58 O 0.9098 0.5057 0.2834
59 O 0.9098 0.9943 0.2834
60 O 0.9828 0.2500 0.4801

Top 6 peaks for 2θ = 10–90°, most intense first:
Position (°2θ)	I (rel.)
29.11	100
30.26	43
27.35	40
29.43	31
30.91	28
34.35	25

=====

Record 2
# Hf6Ga16Ni7
Theoretical PXRD pattern, copper Kα. Input: a structure optimized by DFT (GGA-PBE).
Intensities are scaled so that the largest is 100.

Cell and atoms:
a = 8.5173 Å, b = 8.5173 Å, c = 8.5173 Å
α = 60.00°, β = 60.00°, γ = 60.00°
Element x y z (fractional)
1 Hf 0.1903 0.1903 0.8097
2 Hf 0.1903 0.8097 0.1903
3 Hf 0.1903 0.8097 0.8097
4 Hf 0.8097 0.1903 0.1903
5 Hf 0.8097 0.1903 0.8097
6 Hf 0.8097 0.8097 0.1903
7 Ga 0.1411 0.6196 0.6196
8 Ga 0.1621 0.1621 0.1621
9 Ga 0.1621 0.1621 0.5137
10 Ga 0.1621 0.5137 0.1621
11 Ga 0.3804 0.3804 0.3804
12 Ga 0.3804 0.3804 0.8589
13 Ga 0.3804 0.8589 0.3804
14 Ga 0.4863 0.8379 0.8379
15 Ga 0.5137 0.1621 0.1621
16 Ga 0.6196 0.1411 0.6196
17 Ga 0.6196 0.6196 0.1411
18 Ga 0.6196 0.6196 0.6196
19 Ga 0.8379 0.4863 0.8379
20 Ga 0.8379 0.8379 0.4863
21 Ga 0.8379 0.8379 0.8379
22 Ga 0.8589 0.3804 0.3804
23 Ni 0.0000 0.0000 0.5000
24 Ni 0.0000 0.5000 0.0000
25 Ni 0.0000 0.5000 0.5000
26 Ni 0.5000 0.0000 0.0000
27 Ni 0.5000 0.0000 0.5000
28 Ni 0.5000 0.5000 0.0000
29 Ni 0.5000 0.5000 0.5000

Top 6 peaks for 2θ = 10–90°, most intense first:
Position (°2θ)	I (rel.)
38.85	100
42.45	74
36.55	33
65.79	27
45.16	25
79.11	22

=====

Record 3
# BaSrZrNbO6
Theoretical PXRD pattern, copper Kα. Input: a structure optimized by DFT (GGA-PBE).
Intensities are scaled so that the largest is 100.

Cell and atoms:
a = 5.9031 Å, b = 5.9031 Å, c = 5.9031 Å
α = 60.00°, β = 60.00°, γ = 60.00°
Element x y z (fractional)
1 Ba 0.0000 0.0000 0.0000
2 Sr 0.5000 0.5000 0.5000
3 Zr 0.2500 0.2500 0.2500
4 Nb 0.7500 0.7500 0.7500
5 O 0.5043 0.5043 0.9957
6 O 0.5043 0.9957 0.5043
7 O 0.5043 0.9957 0.9957
8 O 0.9957 0.5043 0.5043
9 O 0.9957 0.5043 0.9957
10 O 0.9957 0.9957 0.5043

Top 6 peaks for 2θ = 10–90°, most intense first:
Position (°2θ)	I (rel.)
30.28	100
53.80	40
43.36	33
87.43	21
62.98	20
71.47	17

=====

Record 4
# HfTi
Theoretical PXRD pattern, copper Kα. Input: a structure optimized by DFT (GGA-PBE).
Intensities are scaled so that the largest is 100.

Cell and atoms:
a = 3.0911 Å, b = 3.0911 Å, c = 4.8534 Å
α = 90.00°, β = 90.00°, γ = 120.00°
Element x y z (fractional)
1 Hf 0.0000 0.0000 0.0000
2 Ti 0.6667 0.3333 0.5000

Top 6 peaks for 2θ = 10–90°, most intense first:
Position (°2θ)	I (rel.)
38.40	100
33.47	43
18.28	41
50.78	27
37.05	22
67.67	19